For KBS4Cl4O12, a cell relaxed with PBE gives the simulated PXRD pattern in this record (Cu Kα).
Peak positions follow from Bragg's law for the DFT cell and can differ from measured ones.

Structure:
a b c (Å): 8.368 20.791 10.760
angles (deg): 90.00 109.05 90.00
Space group Cc (No. 9)
One atom of each set of equivalent atoms:
K: 0.000 0.083 0.000 (multiplicity 4)
B: 0.070 0.379 0.903 (multiplicity 4)
S: 0.170 0.351 0.693 (multiplicity 4)
S: 0.335 0.025 0.353 (multiplicity 4)
S: 0.357 0.409 0.105 (multiplicity 4)
S: 0.407 0.223 0.464 (multiplicity 4)
Cl: 0.061 0.149 0.637 (multiplicity 4)
Cl: 0.168 0.243 0.344 (multiplicity 4)
Cl: 0.441 0.175 0.061 (multiplicity 4)
Cl: 0.452 0.048 0.790 (multiplicity 4)
O: 0.000 0.217 0.980 (multiplicity 4)
O: 0.117 0.397 0.786 (multiplicity 4)
O: 0.218 0.363 0.020 (multiplicity 4)
O: 0.239 0.061 0.239 (multiplicity 4)
O: 0.249 0.293 0.759 (multiplicity 4)
O: 0.251 0.004 0.937 (multiplicity 4)
O: 0.252 0.389 0.621 (multiplicity 4)
O: 0.335 0.419 0.230 (multiplicity 4)
O: 0.379 0.463 0.029 (multiplicity 4)
O: 0.396 0.189 0.577 (multiplicity 4)
O: 0.462 0.178 0.369 (multiplicity 4)
O: 0.487 0.064 0.441 (multiplicity 4)

Principal peaks in the range 10° ≤ 2θ ≤ 80°, most intense first:
| d/Å | 2theta | I_rel | h k l |
| --- | --- | --- | --- |
| 3.639 | 24.5 | 100 | 1 5 -1 |
| 3.515 | 25.3 | 53 | 1 1 -3 |
| 3.696 | 24.1 | 50 | 1 1 2 |
| 3.680 | 24.2 | 42 | 1 5 0 |
| 5.104 | 17.4 | 39 | 1 3 -1 |
| 5.265 | 16.8 | 36 | 1 1 1 |
| 4.955 | 17.9 | 27 | 1 1 -2 |
| 5.211 | 17.0 | 23 | 1 3 0 |
| 7.270 | 12.2 | 22 | 0 2 1 |
| 3.874 | 23.0 | 21 | 2 2 -1 |